No. 1
Simulated powder diffractogram
Compound: La2Y2Ho5
Radiation: λ = 1.5418 Å (Cu Kα)
Structure: a cell relaxed with PBE
Lines closer than 0.1° are merged.

Most intense lines, 2θ from 5° to 70°, by intensity:
d [Å]	2θ/deg	I (rel.)
2.987	29.92	100
2.902	30.81	76
2.727	32.85	73
2.928	30.53	62
2.713	33.01	62
3.152	28.31	56
2.527	35.53	49
2.392	37.60	48

Cell and atoms:
Cell: 10.145 10.145 10.145 Å, 85.00 107.85 141.32°
Atoms (fractional coordinates):
La (0.000, 0.000, 0.000)
La (0.000, 0.500, 0.500)
La (0.080, 0.837, 0.743)
La (0.094, 0.337, 0.257)
Y (0.542, 0.671, 0.122)
Y (0.542, 0.920, 0.370)
Y (0.549, 0.171, 0.630)
Y (0.549, 0.420, 0.878)
Ho (0.124, 0.032, 0.375)
Ho (0.124, 0.249, 0.592)
Ho (0.144, 0.639, 0.005)
Ho (0.436, 0.142, 0.188)
Ho (0.436, 0.748, 0.794)
Ho (0.634, 0.139, 0.995)
Ho (0.657, 0.532, 0.408)
Ho (0.657, 0.749, 0.625)
Ho (0.954, 0.248, 0.812)
Ho (0.954, 0.642, 0.206)



No. 2
Simulated powder diffractogram
Compound: LaY6Ho5
Radiation: λ = 1.5418 Å (Cu Kα)
Structure: a cell relaxed with PBE
Lines closer than 0.1° are merged.

Most intense lines, 2θ from 5° to 70°, by intensity:
d [Å]	2θ/deg	I (rel.)
2.914	30.68	100
2.524	35.58	50
1.785	51.18	30
1.523	60.84	28
1.520	60.95	14
1.457	63.89	12
5.051	17.56	7
3.567	24.96	6

Cell and atoms:
Cell: 5.039 10.103 7.981 Å, 90.00 108.33 90.00°
Atoms (fractional coordinates):
La (0.000, 0.000, 0.000)
Y (0.167, 0.253, 0.334)
Y (0.167, 0.747, 0.334)
Y (0.500, 0.254, 0.000)
Y (0.500, 0.746, 0.000)
Y (0.833, 0.253, 0.666)
Y (0.833, 0.747, 0.666)
Ho (0.000, 0.500, 0.000)
Ho (0.331, 0.000, 0.662)
Ho (0.333, 0.500, 0.666)
Ho (0.667, 0.500, 0.334)
Ho (0.669, 0.000, 0.338)



No. 3
Simulated powder diffractogram
Compound: La5YHo
Radiation: λ = 1.5418 Å (Cu Kα)
Structure: a cell relaxed with PBE
Lines closer than 0.1° are merged.

Most intense lines, 2θ from 5° to 70°, by intensity:
d [Å]	2θ/deg	I (rel.)
2.910	30.72	100
2.897	30.86	37
2.931	30.50	37
2.964	30.16	32
2.545	35.26	21
2.667	33.60	21
1.911	47.57	13
2.815	31.78	13

Cell and atoms:
Cell: 9.429 9.429 9.195 Å, 93.72 93.72 141.11°
Atoms (fractional coordinates):
La (0.019, 0.389, 0.649)
La (0.139, 0.861, 0.750)
La (0.241, 0.544, 0.035)
La (0.389, 0.019, 0.149)
La (0.456, 0.759, 0.465)
La (0.544, 0.241, 0.535)
La (0.611, 0.981, 0.851)
La (0.759, 0.456, 0.965)
La (0.861, 0.139, 0.250)
La (0.981, 0.611, 0.351)
Y (0.000, 0.000, 0.000)
Y (0.000, 0.000, 0.500)
Ho (0.490, 0.510, 0.750)
Ho (0.510, 0.490, 0.250)



No. 4
Simulated powder diffractogram
Compound: La7Y2Ho3
Radiation: λ = 1.5418 Å (Cu Kα)
Structure: a cell relaxed with PBE
Lines closer than 0.1° are merged.

Most intense lines, 2θ from 5° to 70°, by intensity:
d [Å]	2θ/deg	I (rel.)
2.914	30.68	100
2.951	30.29	99
2.618	34.25	92
2.977	30.02	86
2.740	32.68	73
3.063	29.15	72
1.862	48.91	41
2.407	37.37	34

Cell and atoms:
Cell: 6.544 3.579 17.788 Å, 90.00 95.60 90.00°
Atoms (fractional coordinates):
La (0.000, 0.000, 0.000)
La (0.227, 0.500, 0.173)
La (0.263, 0.500, 0.492)
La (0.278, 0.000, 0.833)
La (0.722, 0.000, 0.167)
La (0.737, 0.500, 0.508)
La (0.773, 0.500, 0.827)
Y (0.057, 0.500, 0.670)
Y (0.943, 0.500, 0.330)
Ho (0.457, 0.000, 0.338)
Ho (0.500, 0.500, 0.000)
Ho (0.543, 0.000, 0.662)



No. 5
Simulated powder diffractogram
Compound: La3Y4Ho
Radiation: λ = 1.5418 Å (Cu Kα)
Structure: a cell relaxed with PBE
Lines closer than 0.1° are merged.

Most intense lines, 2θ from 5° to 70°, by intensity:
d [Å]	2θ/deg	I (rel.)
2.798	31.98	100
2.909	30.73	25
1.657	55.44	20
3.196	27.92	16
2.150	42.02	16
1.555	59.43	15
1.840	49.53	13
1.541	60.04	11

Cell and atoms:
Cell: 11.637 7.390 6.367 Å, 90.00 90.00 90.00°
Atoms (fractional coordinates):
La (0.000, 0.128, 0.000)
La (0.246, 0.876, 0.829)
La (0.254, 0.124, 0.329)
La (0.500, 0.872, 0.500)
La (0.746, 0.124, 0.329)
La (0.754, 0.876, 0.829)
Y (0.000, 0.376, 0.493)
Y (0.000, 0.868, 0.492)
Y (0.248, 0.621, 0.329)
Y (0.252, 0.379, 0.829)
Y (0.500, 0.132, 0.992)
Y (0.500, 0.624, 0.993)
Y (0.748, 0.379, 0.829)
Y (0.752, 0.621, 0.329)
Ho (0.000, 0.620, 0.993)
Ho (0.500, 0.380, 0.493)



No. 6
Simulated powder diffractogram
Compound: La5YHo
Radiation: λ = 1.5418 Å (Cu Kα)
Structure: a cell relaxed with PBE
Lines closer than 0.1° are merged.

Most intense lines, 2θ from 5° to 70°, by intensity:
d [Å]	2θ/deg	I (rel.)
2.845	31.45	100
2.982	29.96	93
2.691	33.29	72
3.228	27.63	70
2.827	31.65	70
2.880	31.05	55
3.018	29.60	52
2.758	32.46	46

Cell and atoms:
Cell: 9.000 9.000 11.064 Å, 123.40 123.40 44.10°
Atoms (fractional coordinates):
La (0.010, 0.990, 0.750)
La (0.078, 0.570, 0.906)
La (0.161, 0.658, 0.407)
La (0.342, 0.839, 0.093)
La (0.430, 0.922, 0.594)
La (0.570, 0.078, 0.406)
La (0.658, 0.161, 0.907)
La (0.839, 0.342, 0.593)
La (0.922, 0.430, 0.094)
La (0.990, 0.010, 0.250)
Y (0.487, 0.513, 0.750)
Y (0.513, 0.487, 0.250)
Ho (0.000, 0.500, 0.500)
Ho (0.500, 0.000, 0.000)



No. 7
Simulated powder diffractogram
Compound: La8Y3Ho
Radiation: λ = 1.5418 Å (Cu Kα)
Structure: a cell relaxed with PBE
Lines closer than 0.1° are merged.

Most intense lines, 2θ from 5° to 70°, by intensity:
d [Å]	2θ/deg	I (rel.)
2.537	35.39	100
2.934	30.47	89
3.145	28.38	89
3.768	23.61	87
2.080	43.52	78
3.544	25.12	61
2.145	42.12	60
6.290	14.08	59

Cell and atoms:
Cell: 8.602 8.602 8.602 Å, 117.73 117.73 93.99°
Atoms (fractional coordinates):
La (0.129, 0.129, 0.755)
La (0.249, 0.746, 0.000)
La (0.254, 0.254, 0.503)
La (0.374, 0.374, 0.245)
La (0.626, 0.871, 0.000)
La (0.746, 0.249, 0.000)
La (0.751, 0.751, 0.497)
La (0.871, 0.626, 0.000)
Y (0.000, 0.000, 0.000)
Y (0.250, 0.750, 0.500)
Y (0.750, 0.250, 0.500)
Ho (0.500, 0.500, 0.000)



No. 8
Simulated powder diffractogram
Compound: La3Y2Ho6
Radiation: λ = 1.5418 Å (Cu Kα)
Structure: a cell relaxed with PBE
Lines closer than 0.1° are merged.

Most intense lines, 2θ from 5° to 70°, by intensity:
d [Å]	2θ/deg	I (rel.)
2.936	30.44	100
2.537	35.38	66
2.910	30.72	32
1.531	60.47	28
1.800	50.71	24
1.788	51.08	23
1.535	60.30	14
1.524	60.80	13

Cell and atoms:
Cell: 32.080 32.080 32.080 Å, 6.43 6.43 6.43°
Atoms (fractional coordinates):
La (0.000, 0.000, 0.000)
La (0.272, 0.272, 0.272)
La (0.728, 0.728, 0.728)
Y (0.455, 0.455, 0.455)
Y (0.545, 0.545, 0.545)
Ho (0.092, 0.092, 0.092)
Ho (0.181, 0.181, 0.181)
Ho (0.364, 0.364, 0.364)
Ho (0.636, 0.636, 0.636)
Ho (0.819, 0.819, 0.819)
Ho (0.908, 0.908, 0.908)



No. 9
Simulated powder diffractogram
Compound: LaY4Ho
Radiation: λ = 1.5418 Å (Cu Kα)
Structure: a cell relaxed with PBE
Lines closer than 0.1° are merged.

Most intense lines, 2θ from 5° to 70°, by intensity:
d [Å]	2θ/deg	I (rel.)
2.841	31.49	100
2.887	30.98	57
2.576	34.83	54
2.804	31.92	53
1.515	61.18	29
3.018	29.60	26
3.367	26.47	26
2.900	30.83	20

Cell and atoms:
Cell: 3.581 5.607 9.887 Å, 90.00 90.05 90.00°
Atoms (fractional coordinates):
La (0.000, 0.000, 0.000)
Y (0.498, 0.000, 0.673)
Y (0.500, 0.500, 0.144)
Y (0.998, 0.000, 0.347)
Y (0.998, 0.500, 0.795)
Ho (0.497, 0.500, 0.485)



No. 10
Simulated powder diffractogram
Compound: LaY12Ho7
Radiation: λ = 1.5418 Å (Cu Kα)
Structure: a cell relaxed with PBE
Lines closer than 0.1° are merged.

Most intense lines, 2θ from 5° to 70°, by intensity:
d [Å]	2θ/deg	I (rel.)
2.851	31.38	100
2.642	33.93	42
3.042	29.36	36
2.931	30.50	29
2.494	36.02	23
2.870	31.16	17
1.436	64.95	15
2.569	34.93	13

Cell and atoms:
Cell: 9.322 9.322 9.322 Å, 108.02 108.02 108.02°
Atoms (fractional coordinates):
La (0.000, 0.000, 0.000)
Y (0.057, 0.407, 0.302)
Y (0.212, 0.385, 0.674)
Y (0.302, 0.057, 0.407)
Y (0.326, 0.788, 0.615)
Y (0.385, 0.674, 0.212)
Y (0.407, 0.302, 0.057)
Y (0.593, 0.698, 0.943)
Y (0.615, 0.326, 0.788)
Y (0.674, 0.212, 0.385)
Y (0.698, 0.943, 0.593)
Y (0.788, 0.615, 0.326)
Y (0.943, 0.593, 0.698)
Ho (0.001, 0.319, 0.895)
Ho (0.105, 0.999, 0.681)
Ho (0.319, 0.895, 0.001)
Ho (0.500, 0.500, 0.500)
Ho (0.681, 0.105, 0.999)
Ho (0.895, 0.001, 0.319)
Ho (0.999, 0.681, 0.105)



No. 11
Simulated powder diffractogram
Compound: LaY5Ho7
Radiation: λ = 1.5418 Å (Cu Kα)
Structure: a cell relaxed with PBE
Lines closer than 0.1° are merged.

Most intense lines, 2θ from 5° to 70°, by intensity:
d [Å]	2θ/deg	I (rel.)
2.836	31.55	100
2.896	30.88	62
2.576	34.82	60
3.356	26.56	56
2.873	31.12	54
3.252	27.43	52
2.906	30.77	38
1.626	56.61	30

Cell and atoms:
Cell: 8.712 8.712 8.712 Å, 134.65 100.44 96.67°
Atoms (fractional coordinates):
La (0.000, 0.000, 0.000)
Y (0.433, 0.440, 0.464)
Y (0.433, 0.969, 0.993)
Y (0.699, 0.199, 0.500)
Y (0.975, 0.440, 0.007)
Y (0.975, 0.969, 0.536)
Ho (0.122, 0.452, 0.669)
Ho (0.207, 0.707, 0.500)
Ho (0.282, 0.953, 0.330)
Ho (0.399, 0.399, 0.000)
Ho (0.623, 0.953, 0.670)
Ho (0.704, 0.704, 0.000)
Ho (0.783, 0.452, 0.331)



No. 12
Simulated powder diffractogram
Compound: La4Y5Ho
Radiation: λ = 1.5418 Å (Cu Kα)
Structure: a cell relaxed with PBE
Lines closer than 0.1° are merged.

Most intense lines, 2θ from 5° to 70°, by intensity:
d [Å]	2θ/deg	I (rel.)
3.070	29.09	100
2.954	30.26	60
2.796	32.01	43
2.560	35.05	43
1.737	52.68	38
3.200	27.88	24
2.458	36.55	21
1.810	50.41	16

Cell and atoms:
Cell: 10.863 10.863 5.788 Å, 90.00 90.00 90.00°
Atoms (fractional coordinates):
La (0.045, 0.750, 0.122)
La (0.250, 0.545, 0.878)
La (0.250, 0.955, 0.878)
La (0.455, 0.750, 0.122)
La (0.545, 0.250, 0.878)
La (0.750, 0.045, 0.122)
La (0.750, 0.455, 0.122)
La (0.955, 0.250, 0.878)
Y (0.091, 0.091, 0.350)
Y (0.091, 0.409, 0.350)
Y (0.250, 0.750, 0.500)
Y (0.409, 0.091, 0.350)
Y (0.409, 0.409, 0.350)
Y (0.591, 0.591, 0.650)
Y (0.591, 0.909, 0.650)
Y (0.750, 0.250, 0.500)
Y (0.909, 0.591, 0.650)
Y (0.909, 0.909, 0.650)
Ho (0.250, 0.250, 0.887)
Ho (0.750, 0.750, 0.113)